(1)
For SrIn5PdPt, a structure optimized by DFT (PBE) gives the theoretical powder X-ray diffraction pattern in this record (CuKα).
Intensities are scaled so that the largest is 1000.

The 10 most intense peaks (10° ≤ 2θ ≤ 90°), by angle:
index  d [Å]  Position (°2θ)  I (rel.)
0 1 1  6.517  13.59  425
0 0 2  5.413  16.38  380
1 2 1  2.878  31.08  988
1 0 3  2.785  32.14  1000
1 3 0  2.311  38.98  766
0 2 4  2.255  39.97  834
1 1 4  2.216  40.72  519
2 0 0  2.189  41.24  580
1 3 2  2.125  42.54  363
2 2 4  1.571  58.78  527

Atomic structure:
```
data_SrIn5PdPt
_chemical_formula_sum 'Sr2 In10 Pd2 Pt2'
_cell_length_a 4.378
_cell_length_b 8.161
_cell_length_c 10.826
_cell_angle_alpha 90.00
_cell_angle_beta 90.00
_cell_angle_gamma 90.00
_symmetry_space_group_name_H-M 'I m m 2'
_symmetry_Int_Tables_number 44
_symmetry_space_group_name_Hall 'I 2 -2'
loop_
_atom_site_label
_atom_site_type_symbol
_atom_site_fract_x
_atom_site_fract_y
_atom_site_fract_z
Sr1 Sr 0.000 0.000 0.000
In1 In 0.000 0.195 0.648
In2 In 0.000 0.196 0.345
In3 In 0.000 0.500 0.998
Pd1 Pd 0.000 0.500 0.243
Pt1 Pt 0.000 0.500 0.750
```

(2)
For NdNiPdPt3, a structure optimized by DFT (PBE) gives the theoretical powder X-ray diffraction pattern in this record (CuKα).
Intensities are scaled so that the largest is 1000.

The 10 most intense peaks (10° ≤ 2θ ≤ 90°), by angle:
index  d [Å]  Position (°2θ)  I (rel.)
1 0 0  4.658  19.05  228
1 0 1  3.153  28.30  603
2 0 0  2.329  38.66  826
1 1 1  2.278  39.57  1000
0 0 2  2.142  42.18  429
2 0 1  2.046  44.27  759
2 0 2  1.577  58.54  504
3 0 1  1.460  63.76  245
2 2 0  1.345  69.97  286
2 2 2  1.139  85.21  344

Atomic structure:
```
data_NdNiPdPt3
_chemical_formula_sum 'Nd1 Ni1 Pd1 Pt3'
_cell_length_a 5.3782
_cell_length_b 5.3782
_cell_length_c 4.2848
_cell_angle_alpha 90.00
_cell_angle_beta 90.00
_cell_angle_gamma 120.00
_symmetry_space_group_name_H-M 'P -6 m 2'
_symmetry_Int_Tables_number 187
_symmetry_space_group_name_Hall 'P -6 2'
loop_
_atom_site_label
_atom_site_type_symbol
_atom_site_fract_x
_atom_site_fract_y
_atom_site_fract_z
Nd1 Nd 0.0000 0.0000 0.0000
Ni1 Ni 0.3333 0.6667 0.0000
Pd1 Pd 0.6667 0.3333 0.0000
Pt1 Pt 0.0051 0.5025 0.5000
```

(3)
For Pr2Nd2CIBr2Cl2, a structure optimized by DFT (PBE) gives the theoretical powder X-ray diffraction pattern in this record (CuKα).
Intensities are scaled so that the largest is 1000.

The 10 most intense peaks (10° ≤ 2θ ≤ 90°), by angle:
index  d [Å]  Position (°2θ)  I (rel.)
0 0 1  8.505  10.40  378
3 1 -1  3.249  27.45  110
1 1 -2  2.961  30.18  1000
5 1 -1  2.685  33.37  142
6 0 -3  2.358  38.17  169
2 0 -4  2.193  41.16  88
7 1 -2  2.100  43.08  160
5 1 2  2.091  43.28  171
0 2 0  2.005  45.23  111
6 2 0  1.661  55.30  93

Atomic structure:
```
data_Pr2Nd2CIBr2Cl2
_chemical_formula_sum 'Pr4 Nd4 C2 I2 Br4 Cl4'
_cell_length_a 18.360
_cell_length_b 4.010
_cell_length_c 8.773
_cell_angle_alpha 90.00
_cell_angle_beta 104.20
_cell_angle_gamma 90.00
_symmetry_space_group_name_H-M 'C 1 2/m 1'
_symmetry_Int_Tables_number 12
_symmetry_space_group_name_Hall '-C 2y'
loop_
_atom_site_label
_atom_site_type_symbol
_atom_site_fract_x
_atom_site_fract_y
_atom_site_fract_z
Pr1 Pr 0.142 0.000 0.078
Nd1 Nd 0.000 0.500 0.197
C1 C 0.000 0.000 0.000
I1 I 0.000 0.000 0.500
Br1 Br 0.170 0.500 0.838
Cl1 Cl 0.160 0.500 0.316
```

(4)
For Te2WSeSBr, a structure optimized by DFT (PBE) gives the theoretical powder X-ray diffraction pattern in this record (CuKα).
Intensities are scaled so that the largest is 1000.

The 10 most intense peaks (10° ≤ 2θ ≤ 90°), by angle:
index  d [Å]  Position (°2θ)  I (rel.)
0 1 -1  7.325  12.08  1000
0 0 1  7.211  12.27  260
0 1 0  7.001  12.64  623
1 2 -2  3.010  29.68  126
2 0 -2  2.731  32.79  113
1 -3 2  2.710  33.05  127
2 1 -2  2.608  34.39  97
2 -3 2  2.278  39.56  94
-2 2 2  2.088  43.32  95
0 1 -4  2.024  44.79  143

Atomic structure:
```
data_Te2WSeSBr
_chemical_formula_sum 'Te4 W2 Se2 S2 Br2'
_cell_length_a 6.537
_cell_length_b 8.563
_cell_length_c 8.564
_cell_angle_alpha 118.44
_cell_angle_beta 96.75
_cell_angle_gamma 105.39
_symmetry_space_group_name_H-M 'P -1'
_symmetry_Int_Tables_number 2
_symmetry_space_group_name_Hall '-P 1'
loop_
_atom_site_label
_atom_site_type_symbol
_atom_site_fract_x
_atom_site_fract_y
_atom_site_fract_z
Te1 Te 0.040 0.499 0.257
Te2 Te 0.370 0.265 0.683
W1 W 0.280 0.500 0.000
Se1 Se 0.107 0.775 0.078
S1 S 0.473 0.365 0.134
Br1 Br 0.234 0.901 0.632
```

(5)
For Zr5Si4, a structure optimized by DFT (PBE) gives the theoretical powder X-ray diffraction pattern in this record (CuKα).
Intensities are scaled so that the largest is 1000.

The 10 most intense peaks (10° ≤ 2θ ≤ 90°), by angle:
index  d [Å]  Position (°2θ)  I (rel.)
2 0 2  3.138  28.44  291
1 1 4  2.745  32.62  366
2 1 3  2.579  34.79  777
2 2 1  2.483  36.17  1000
1 1 5  2.322  38.78  733
3 0 2  2.240  40.25  723
4 0 2  1.725  53.08  240
2 1 7  1.612  57.13  214
3 1 6  1.569  58.85  326
3 3 4  1.499  61.92  266

Atomic structure:
```
data_Zr5Si4
_chemical_formula_sum 'Zr20 Si16'
_cell_length_a 7.155
_cell_length_b 7.155
_cell_length_c 13.069
_cell_angle_alpha 90.00
_cell_angle_beta 90.00
_cell_angle_gamma 90.00
_symmetry_space_group_name_H-M 'P 41 21 2'
_symmetry_Int_Tables_number 92
_symmetry_space_group_name_Hall 'P 4abw 2nw'
loop_
_atom_site_label
_atom_site_type_symbol
_atom_site_fract_x
_atom_site_fract_y
_atom_site_fract_z
Zr1 Zr 0.001 0.146 0.127
Zr2 Zr 0.001 0.350 0.535
Zr3 Zr 0.175 0.825 0.250
Si1 Si 0.050 0.699 0.438
Si2 Si 0.147 0.205 0.323
```

(6)
For ErH2BrO2, a structure optimized by DFT (PBE) gives the theoretical powder X-ray diffraction pattern in this record (CuKα).
Intensities are scaled so that the largest is 1000.

The 10 most intense peaks (10° ≤ 2θ ≤ 90°), by angle:
index  d [Å]  Position (°2θ)  I (rel.)
0 0 1  6.436  13.76  472
1 0 -1  5.174  17.14  327
1 0 1  3.788  23.48  580
1 1 -1  2.976  30.02  1000
2 0 0  2.917  30.64  513
1 1 1  2.624  34.17  613
2 0 -2  2.587  34.67  294
0 1 2  2.411  37.30  692
1 0 -3  2.246  40.14  324
3 1 -1  1.780  51.32  363

Atomic structure:
```
data_ErH2BrO2
_chemical_formula_sum 'Er2 H4 Br2 O4'
_cell_length_a 6.124
_cell_length_b 3.639
_cell_length_c 6.755
_cell_angle_alpha 90.00
_cell_angle_beta 107.67
_cell_angle_gamma 90.00
_symmetry_space_group_name_H-M 'P 1 21/m 1'
_symmetry_Int_Tables_number 11
_symmetry_space_group_name_Hall '-P 2yb'
loop_
_atom_site_label
_atom_site_type_symbol
_atom_site_fract_x
_atom_site_fract_y
_atom_site_fract_z
Er1 Er 0.211 0.250 0.392
H1 H 0.157 0.250 0.801
H2 H 0.380 0.750 0.726
Br1 Br 0.271 0.750 0.065
O1 O 0.052 0.250 0.658
O2 O 0.396 0.750 0.585
```

(7)
For DyYMg3Fe2, a structure optimized by DFT (PBE) gives the theoretical powder X-ray diffraction pattern in this record (CuKα).
Intensities are scaled so that the largest is 1000.

The 10 most intense peaks (10° ≤ 2θ ≤ 90°), by angle:
index  d [Å]  Position (°2θ)  I (rel.)
0 1 3  3.429  25.98  371
1 1 1  2.667  33.61  703
1 0 6  2.546  35.25  868
1 1 3  2.511  35.75  1000
0 1 7  2.392  37.60  350
1 1 5  2.268  39.75  599
0 1 9  2.014  45.01  314
0 2 0  1.963  46.24  293
2 0 0  1.844  49.43  239
1 2 6  1.555  59.45  369

Atomic structure:
```
data_DyYMg3Fe2
_chemical_formula_sum 'Dy2 Y2 Mg6 Fe4'
_cell_length_a 3.688
_cell_length_b 3.927
_cell_length_c 21.119
_cell_angle_alpha 90.00
_cell_angle_beta 90.00
_cell_angle_gamma 90.00
_symmetry_space_group_name_H-M 'A m m 2'
_symmetry_Int_Tables_number 38
_symmetry_space_group_name_Hall 'A 2 -2'
loop_
_atom_site_label
_atom_site_type_symbol
_atom_site_fract_x
_atom_site_fract_y
_atom_site_fract_z
Dy1 Dy 0.000 0.000 0.000
Y1 Y 0.000 0.000 0.653
Mg1 Mg 0.000 0.000 0.826
Mg2 Mg 0.500 0.000 0.247
Mg3 Mg 0.500 0.000 0.406
Fe1 Fe 0.500 0.000 0.107
Fe2 Fe 0.500 0.000 0.545
```

(8)
For DySbBr6, a structure optimized by DFT (PBE) gives the theoretical powder X-ray diffraction pattern in this record (CuKα).
Intensities are scaled so that the largest is 1000.

The 10 most intense peaks (10° ≤ 2θ ≤ 90°), by angle:
index  d [Å]  Position (°2θ)  I (rel.)
0 0 1  6.499  13.62  501
1 1 0  5.857  15.13  268
1 1 -1  5.228  16.96  193
1 3 0  3.500  25.45  324
2 0 -2  2.886  30.99  500
1 3 1  2.868  31.18  1000
0 6 0  2.057  44.02  180
3 3 -1  2.053  44.12  361
1 3 -3  2.016  44.96  350
2 6 -2  1.675  54.80  184

Atomic structure:
```
data_DySbBr6
_chemical_formula_sum 'Dy2 Sb2 Br12'
_cell_length_a 7.106
_cell_length_b 12.344
_cell_length_c 6.941
_cell_angle_alpha 90.00
_cell_angle_beta 110.56
_cell_angle_gamma 90.00
_symmetry_space_group_name_H-M 'C 1 2 1'
_symmetry_Int_Tables_number 5
_symmetry_space_group_name_Hall 'C 2y'
loop_
_atom_site_label
_atom_site_type_symbol
_atom_site_fract_x
_atom_site_fract_y
_atom_site_fract_z
Dy1 Dy 0.000 0.000 0.000
Sb1 Sb 0.000 0.332 0.000
Br1 Br 0.238 0.165 0.246
Br2 Br 0.238 0.991 0.752
Br3 Br 0.241 0.343 0.752
```